Simulated powder XRD pattern of Ac2Si3SbPt4 for Cu Kα X-rays, from the PBE geometry in Alexandria.
Intensities are scaled so that the largest is 100.

Largest 10 diffraction maxima, most intense first, 2θ from 10° to 90°:
d 2.695, I 100; d 2.247, I 57; d 2.706, I 45; d 1.369, I 31; d 1.729, I 24; d 3.367, I 23; d 3.033, I 22; d 1.853, I 22; d 1.589, I 19; d 1.430, I 19

Cell and atoms:
Unit cell a=4.4943 b=4.4943 c=10.1693 alpha=90.00 beta=90.00 gamma=90.00
Space group P-4m2 (No. 115)
Symmetry-distinct sites (fractional):
Ac1 0.0000 0.5000 0.2422
Si1 0.0000 0.5000 0.8812
Si2 0.5000 0.5000 0.5000
Sb1 0.0000 0.0000 0.5000
Pt1 0.0000 0.0000 0.0000
Pt2 0.0000 0.5000 0.6380
Pt3 0.5000 0.5000 0.0000